Record 1
Li3Pu3CuS8: calculated powder X-ray diffraction pattern (Cu Ka), based on DFT lattice parameters and positions (PBE).
Lines closer than 0.1° are merged.

Peak list (10 most intense, 10° ≤ 2θ ≤ 80°, low angle first)
Position (°2θ)	intensity	index
14.5	100	0 0 3
27.3	66	0 2 1
28.6	28	2 0 2
33.3	78	0 2 4
36.5	30	2 0 5
44.1	21	0 2 7
47.3	29	2 2 0
48.3	27	2 0 8
49.8	28	2 2 3
59.1	15	4 0 4

Structural model:
Unit cell a=7.6801 b=7.6801 c=18.2707 alpha=90.00 beta=90.00 gamma=120.00
Space group R-3m (No. 166, hexagonal axes)
Inequivalent atoms, fractional coordinates:
Li1 0.0000 0.5000 0.0000 [9 per cell]
Pu1 0.0000 0.5000 0.5000 [9 per cell]
Cu1 0.0000 0.0000 0.5000 [3 per cell]
S1 0.0000 0.0000 0.2517 [6 per cell]
S2 0.0118 0.5059 0.2455 [18 per cell]

=====

Record 2
La6FeI12: calculated powder X-ray diffraction pattern (Cu Ka), based on DFT lattice parameters and positions (PBE).
Lines closer than 0.1° are merged.

Peak list (10 most intense, 10° ≤ 2θ ≤ 80°, low angle first)
Position (°2θ)	intensity	index
12.6	25	0 1 2
15.4	40	1 1 0
26.8	100	0 0 6
30.1	97	0 3 3
31.1	98	2 2 0
38.3	32	3 0 6
41.5	54	2 2 6
43.8	26	4 1 3
59.6	38	2 5 3
64.8	22	2 2 12

Structural model:
Unit cell a=11.5051 b=11.5051 c=19.9468 alpha=90.00 beta=90.00 gamma=120.00
Space group R-3m (No. 166, hexagonal axes)
Inequivalent atoms, fractional coordinates:
La1 0.0516 0.5258 0.2561 [18 per cell]
Fe1 0.0000 0.0000 0.5000 [3 per cell]
I1 0.0152 0.5076 0.9035 [18 per cell]
I2 0.0842 0.5421 0.5903 [18 per cell]

=====

Record 3
Zr3Ru: calculated powder X-ray diffraction pattern (Cu Ka), based on DFT lattice parameters and positions (PBE).
Lines closer than 0.1° are merged.

Peak list (10 most intense, 10° ≤ 2θ ≤ 80°, low angle first)
Position (°2θ)	intensity	index
11.8	7	0 0 1
36.4	100	1 0 2
38.7	45	1 1 0
45.6	5	1 0 3
48.6	8	0 0 4
55.9	15	2 0 0
63.8	14	1 1 4
68.6	30	2 1 2
75.5	2	1 1 5
77.2	8	2 0 4

Structural model:
Unit cell a=3.2875 b=3.2875 c=7.4935 alpha=90.00 beta=90.00 gamma=90.00
Space group P4/mmm (No. 123)
Inequivalent atoms, fractional coordinates:
Zr1 0.0000 0.0000 0.0000 [1 per cell]
Zr2 0.5000 0.5000 0.2831 [2 per cell]
Ru1 0.0000 0.0000 0.5000 [1 per cell]

=====

Record 4
Pm4NdHo6: calculated powder X-ray diffraction pattern (Cu Ka), based on DFT lattice parameters and positions (PBE).
Lines closer than 0.1° are merged.

Peak list (10 most intense, 10° ≤ 2θ ≤ 80°, low angle first)
Position (°2θ)	intensity	index
24.7	19	2 1 0
30.1	16	1 1 1
31.5	98	2 0 1
32.5	100	2 2 0
35.6	25	2 1 1
38.1	15	3 0 1
46.0	28	4 0 1
57.4	36	4 2 1
58.1	13	6 0 0
62.5	31	2 2 2

Structural model:
Unit cell a=11.0043 b=11.0043 c=3.5302 alpha=90.00 beta=90.00 gamma=120.00
Space group P-6m2 (No. 187)
Inequivalent atoms, fractional coordinates:
Pm1 0.0000 0.0000 0.0000 [1 per cell]
Pm2 0.0622 0.5311 0.5000 [3 per cell]
Nd1 0.6667 0.3333 0.0000 [1 per cell]
Ho1 0.1628 0.3256 0.0000 [3 per cell]
Ho2 0.3258 0.1629 0.5000 [3 per cell]